Entry 1:
Diffraction record for Ho3ClO4. The powder XRD pattern is theoretical, not measured: it uses a cell relaxed with GGA-PBE and Cu Kα, 1.54184 Å.

Most intense lines, 10 to 90 degrees two-theta, in order of falling intensity:
d [Å]  intensity  index
2.696  100.0  1 1 3
3.201  92.7  0 2 3
2.774  85.3  1 3 0
5.776  52.9  0 2 0
3.780  49.3  1 1 0
2.000  35.2  2 0 0
1.512  33.5  1 7 1
1.696  30.0  2 2 3
1.644  29.0  1 5 4
2.581  28.7  0 2 4

Crystal structure
Cell lengths 3.9997, 11.5538, 11.5361 Å; angles 90.00, 90.00, 90.00 degrees
Space group Cmcm (No. 63)
Asymmetric unit:
1 Ho 0.0000 0.1244 0.2500 [4 per cell]
2 Ho 0.0000 0.1790 0.6012 [8 per cell]
3 Cl 0.0000 0.5000 0.0000 [4 per cell]
4 O 0.0000 0.0605 0.7500 [4 per cell]
5 O 0.0000 0.2336 0.0891 [8 per cell]
6 O 0.0000 0.3016 0.7500 [4 per cell]

=====

Entry 2:
Diffraction record for SmHoCl2O2. The powder XRD pattern is theoretical, not measured: it uses a cell relaxed with GGA-PBE and Cu Kα, 1.54184 Å.

Most intense lines, 10 to 90 degrees two-theta, in order of falling intensity:
d [Å]  intensity  index
2.549  100.0  1 0 2
3.389  92.2  1 0 1
2.777  69.4  1 1 0
1.556  42.4  2 1 2
6.704  41.6  0 0 1
1.964  34.9  2 0 0
1.699  27.4  2 1 1
1.741  24.3  1 1 3
2.138  21.8  1 1 2
1.541  15.8  1 0 4

Crystal structure
Cell lengths 3.9273, 3.9273, 6.7036 Å; angles 90.00, 90.00, 90.00 degrees
Space group P4mm (No. 99)
Asymmetric unit:
1 Sm 0.0000 0.0000 0.0000 [1 per cell]
2 Ho 0.5000 0.5000 0.3402 [1 per cell]
3 Cl 0.0000 0.0000 0.5467 [1 per cell]
4 Cl 0.5000 0.5000 0.8017 [1 per cell]
5 O 0.0000 0.5000 0.1795 [2 per cell]

=====

Entry 3:
Diffraction record for HoTe2ClO5. The powder XRD pattern is theoretical, not measured: it uses a cell relaxed with GGA-PBE and Cu Kα, 1.54184 Å.

Most intense lines, 10 to 90 degrees two-theta, in order of falling intensity:
d [Å]  intensity  index
3.368  100.0  0 2 1
2.772  89.1  0 2 2
3.232  86.0  2 0 -2
3.344  75.3  1 2 0
2.681  74.7  2 0 -3
3.444  74.5  2 -1 0
2.905  59.5  -2 1 2
3.141  49.0  1 2 -2
1.722  42.7  4 -2 0
2.765  42.1  0 2 -3

Crystal structure
Cell lengths 7.5641, 7.8963, 10.0246 Å; angles 100.98, 99.26, 91.90 degrees
Space group P-1 (No. 2)
Asymmetric unit:
1 Ho 0.2385 0.4891 0.4504 [2 per cell]
2 Ho 0.2546 0.0070 0.5193 [2 per cell]
3 Te 0.0004 0.0775 0.2283 [2 per cell]
4 Te 0.1694 0.3776 0.7700 [2 per cell]
5 Te 0.3767 0.7866 0.2270 [2 per cell]
6 Te 0.4495 0.7593 0.7665 [2 per cell]
7 Cl 0.1678 0.4230 0.1492 [2 per cell]
8 Cl 0.3375 0.1062 0.9223 [2 per cell]
9 O 0.0345 0.0797 0.6480 [2 per cell]
10 O 0.0586 0.4553 0.6124 [2 per cell]
11 O 0.1674 0.2029 0.3814 [2 per cell]
12 O 0.1692 0.9104 0.1506 [2 per cell]
13 O 0.2233 0.8016 0.6592 [2 per cell]
14 O 0.2848 0.7418 0.3841 [2 per cell]
15 O 0.3273 0.5900 0.8524 [2 per cell]
16 O 0.3471 0.2790 0.6628 [2 per cell]
17 O 0.4693 0.0068 0.3502 [2 per cell]
18 O 0.4919 0.5987 0.6123 [2 per cell]

=====

Entry 4:
Diffraction record for PrHoSbCl2. The powder XRD pattern is theoretical, not measured: it uses a cell relaxed with GGA-PBE and Cu Kα, 1.54184 Å.

Most intense lines, 10 to 90 degrees two-theta, in order of falling intensity:
d [Å]  intensity  index
3.024  100.0  1 0 2
2.159  39.0  0 1 4
3.470  38.6  1 0 1
2.118  36.1  1 1 0
2.555  29.3  1 0 3
1.735  19.1  0 2 2
2.078  16.3  1 1 1
1.342  16.0  2 1 2
1.363  15.3  1 1 6
1.231  12.4  1 2 4

Crystal structure
Cell lengths 4.2367, 4.2367, 10.6807 Å; angles 90.00, 90.00, 120.00 degrees
Space group P3m1 (No. 156)
Asymmetric unit:
1 Pr 0.0000 0.0000 0.0000 [1 per cell]
2 Ho 0.6667 0.3333 0.6596 [1 per cell]
3 Sb 0.3333 0.6667 0.8196 [1 per cell]
4 Cl 0.0000 0.0000 0.5209 [1 per cell]
5 Cl 0.6667 0.3333 0.1536 [1 per cell]